Structure and simulated XRD peak list of Ti3AlFe2 (the PBE geometry in Alexandria; Cu Kα (λ = 1.5418 Å)).

Largest 10 diffraction maxima, by angle, 2θ = 10–80°:
| d (Å) | I_rel |
| --- | --- |
| 4.858 | 5 |
| 2.177 | 100 |
| 2.080 | 49 |
| 2.034 | 3 |
| 1.873 | 13 |
| 1.619 | 7 |
| 1.471 | 14 |
| 1.388 | 2 |
| 1.278 | 11 |
| 1.219 | 26 |

Cell and atoms:
```
6
Lattice="2.941 0.000 0.000 0.000 2.941 0.000 0.000 0.000 9.716" Properties=species:S:1:pos:R:3 pbc="T T T"
Ti 0.000 0.000 0.000
Ti 0.000 0.000 2.966
Ti 0.000 0.000 6.750
Al 1.471 1.471 4.858
Fe 1.471 1.471 1.487
Fe 1.471 1.471 8.229
```

=====

Structure and simulated XRD peak list of TmAl6Fe (the PBE geometry in Alexandria; Cu Kα (λ = 1.5418 Å)).

Largest 10 diffraction maxima, by angle, 2θ = 10–80°:
| d (Å) | I_rel |
| --- | --- |
| 5.641 | 25 |
| 4.306 | 100 |
| 3.230 | 94 |
| 2.888 | 31 |
| 2.474 | 42 |
| 2.399 | 61 |
| 2.018 | 57 |
| 1.948 | 24 |
| 1.845 | 26 |
| 1.726 | 24 |

Cell and atoms:
```
8
Lattice="2.888 1.667 5.641 -2.888 1.667 5.641 0.000 -3.335 5.641" Properties=species:S:1:pos:R:3 pbc="T T T"
Tm 0.000 0.000 0.000
Al -1.511 -0.873 6.985
Al 0.000 -1.745 9.937
Al -1.511 0.873 9.937
Al 1.511 -0.873 6.985
Al 0.000 1.745 6.985
Al 1.511 0.873 9.937
Fe 0.000 0.000 8.461
```

=====

Structure and simulated XRD peak list of TmAlFe (the PBE geometry in Alexandria; Cu Kα (λ = 1.5418 Å)).

Largest 10 diffraction maxima, by angle, 2θ = 10–80°:
| d (Å) | I_rel |
| --- | --- |
| 4.285 | 60 |
| 2.701 | 39 |
| 2.626 | 100 |
| 2.285 | 57 |
| 2.259 | 68 |
| 2.219 | 44 |
| 1.545 | 20 |
| 1.524 | 19 |
| 1.448 | 25 |
| 1.313 | 25 |

Cell and atoms:
```
12
Lattice="5.291 0.000 0.000 0.000 5.402 0.000 0.000 0.000 7.303" Properties=species:S:1:pos:R:3 pbc="T T T"
Tm 0.000 1.350 0.836
Tm 0.000 4.051 6.467
Tm 2.646 1.350 2.815
Tm 2.646 4.051 4.488
Al 0.000 0.000 3.651
Al 0.000 2.701 3.651
Al 2.646 0.000 0.000
Al 2.646 2.701 0.000
Fe 1.323 1.350 5.477
Fe 1.323 4.051 1.826
Fe 3.969 1.350 5.477
Fe 3.969 4.051 1.826
```

=====

Structure and simulated XRD peak list of TmAl2Fe10 (the PBE geometry in Alexandria; Cu Kα (λ = 1.5418 Å)).

Largest 10 diffraction maxima, by angle, 2θ = 10–80°:
| d (Å) | I_rel |
| --- | --- |
| 5.833 | 15 |
| 2.984 | 21 |
| 2.948 | 15 |
| 2.442 | 23 |
| 2.417 | 45 |
| 2.109 | 100 |
| 2.087 | 38 |
| 2.073 | 46 |
| 1.327 | 13 |
| 1.209 | 14 |

Cell and atoms:
```
13
Lattice="0.000 5.833 5.974 2.442 0.000 5.974 2.442 5.833 0.000" Properties=species:S:1:pos:R:3 pbc="T T T"
Tm 0.000 0.000 0.000
Al 1.221 2.916 0.000
Al 1.221 2.916 5.974
Fe 1.221 0.000 2.987
Fe 2.442 2.120 3.821
Fe 2.442 4.590 4.634
Fe 2.442 2.120 8.127
Fe 2.442 7.076 4.634
Fe 1.221 5.833 2.987
Fe 2.442 4.590 7.314
Fe 2.442 9.546 3.821
Fe 2.442 7.076 7.314
Fe 2.442 9.546 8.127
```

=====

Structure and simulated XRD peak list of TmAlFe5 (the PBE geometry in Alexandria; Cu Kα (λ = 1.5418 Å)).

Largest 10 diffraction maxima, by angle, 2θ = 10–80°:
| d (Å) | I_rel |
| --- | --- |
| 4.263 | 15 |
| 3.824 | 27 |
| 2.764 | 15 |
| 2.418 | 15 |
| 2.407 | 27 |
| 2.266 | 100 |
| 2.181 | 15 |
| 2.066 | 15 |
| 1.950 | 18 |
| 1.365 | 18 |

Cell and atoms:
```
28
Lattice="7.945 0.000 0.000 0.000 4.837 0.000 0.000 0.000 10.103" Properties=species:S:1:pos:R:3 pbc="T T T"
Tm 1.912 1.209 0.623
Tm 2.061 3.627 5.675
Tm 5.884 1.209 4.428
Tm 6.033 3.627 9.480
Al 1.127 3.627 8.688
Al 2.846 1.209 3.637
Al 5.099 3.627 6.466
Al 6.818 1.209 1.415
Fe 0.403 3.627 1.069
Fe 0.503 0.028 3.144
Fe 0.503 2.391 3.144
Fe 0.694 1.209 5.236
Fe 1.539 1.209 7.592
Fe 2.433 3.627 2.541
Fe 3.279 3.627 0.184
Fe 3.469 2.446 8.195
Fe 3.469 4.809 8.195
Fe 3.570 1.209 6.120
Fe 4.375 3.627 3.982
Fe 4.476 0.028 1.908
Fe 4.476 2.391 1.908
Fe 4.666 1.209 9.919
Fe 5.512 1.209 7.562
Fe 6.406 3.627 2.511
Fe 7.251 3.627 4.867
Fe 7.442 2.446 6.959
Fe 7.442 4.809 6.959
Fe 7.542 1.209 9.034
```

=====

Structure and simulated XRD peak list of UAl9Fe3 (the PBE geometry in Alexandria; Cu Kα (λ = 1.5418 Å)).

Largest 10 diffraction maxima, by angle, 2θ = 10–80°:
| d (Å) | I_rel |
| --- | --- |
| 6.224 | 75 |
| 4.376 | 20 |
| 4.348 | 46 |
| 3.109 | 56 |
| 3.099 | 24 |
| 2.791 | 20 |
| 2.543 | 29 |
| 2.202 | 100 |
| 2.187 | 57 |
| 2.174 | 33 |

Cell and atoms:
```
13
Lattice="2.511 -6.247 0.000 2.511 6.247 0.000 -2.445 0.000 6.214" Properties=species:S:1:pos:R:3 pbc="T T T"
U 0.000 0.000 0.000
Al -1.223 0.000 3.107
Al 0.069 2.211 2.096
Al 0.097 1.384 4.896
Al 0.069 -2.211 2.096
Al 2.479 1.384 1.318
Al 0.097 -1.384 4.896
Al 2.507 2.211 4.118
Al 2.479 -1.384 1.318
Al 2.507 -2.211 4.118
Fe 1.255 3.124 0.000
Fe 1.255 -3.124 0.000
Fe 1.288 0.000 3.107
```

=====

Structure and simulated XRD peak list of U2Al3Fe (the PBE geometry in Alexandria; Cu Kα (λ = 1.5418 Å)).

Largest 10 diffraction maxima, by angle, 2θ = 10–80°:
| d (Å) | I_rel |
| --- | --- |
| 4.560 | 60 |
| 4.247 | 46 |
| 2.716 | 58 |
| 2.579 | 77 |
| 2.333 | 15 |
| 2.245 | 100 |
| 2.205 | 21 |
| 1.791 | 15 |
| 1.514 | 21 |
| 1.416 | 24 |

Cell and atoms:
```
6
Lattice="2.579 1.489 4.560 -2.579 1.489 4.560 0.000 -2.978 4.560" Properties=species:S:1:pos:R:3 pbc="T T T"
U 0.000 0.000 1.895
U 0.000 0.000 11.786
Al -1.290 -0.745 4.560
Al -1.290 0.745 9.121
Al 0.000 1.489 4.560
Fe 0.000 0.000 6.841
```

=====

Structure and simulated XRD peak list of U2Al20Fe (the PBE geometry in Alexandria; Cu Kα (λ = 1.5418 Å)).

Largest 10 diffraction maxima, by angle, 2θ = 10–80°:
| d (Å) | I_rel |
| --- | --- |
| 5.048 | 16 |
| 4.936 | 100 |
| 4.001 | 20 |
| 2.936 | 21 |
| 2.892 | 21 |
| 2.567 | 39 |
| 2.468 | 16 |
| 2.288 | 42 |
| 2.267 | 31 |
| 2.135 | 21 |

Cell and atoms:
```
46
Lattice="-6.326 6.326 5.048 6.326 -6.326 5.048 6.326 6.326 -5.048" Properties=species:S:1:pos:R:3 pbc="T T T"
U 4.276 4.276 -2.530
U 2.049 2.049 2.518
U 2.049 -2.049 7.578
U -2.049 2.049 7.578
Al 1.927 0.000 0.000
Al 10.724 0.000 0.000
Al 7.429 3.358 -2.512
Al 8.341 -0.908 1.098
Al 5.420 2.025 -1.085
Al 0.000 1.927 0.000
Al 2.968 -1.103 2.536
Al 4.311 0.908 1.098
Al 3.047 3.047 -0.100
Al 5.418 -2.015 3.951
Al 0.000 0.000 2.497
Al 6.326 0.000 2.524
Al 3.279 -3.279 5.148
Al 7.232 2.025 1.085
Al 2.025 5.420 -1.085
Al 3.358 7.429 -2.512
Al 6.326 4.411 0.000
Al 0.908 4.311 1.098
Al 4.301 0.906 3.963
Al -1.103 2.968 2.536
Al 4.411 6.326 0.000
Al 1.914 0.000 5.048
Al 5.222 3.358 2.512
Al 4.301 -0.906 6.134
Al 7.233 2.015 3.951
Al 0.000 1.914 5.048
Al 3.358 5.222 2.512
Al 2.025 7.232 1.085
Al 0.906 4.301 3.963
Al 3.279 3.279 4.949
Al 0.000 6.326 2.524
Al 0.000 0.000 7.600
Al -0.908 8.341 1.098
Al -3.279 3.279 5.148
Al -2.015 5.418 3.951
Al 2.968 1.103 7.561
Al 0.000 10.724 0.000
Al -0.906 4.301 6.134
Al 2.015 7.233 3.951
Al 1.103 2.968 7.561
Fe 6.326 0.000 0.000
Fe 0.000 6.326 0.000
```

=====

Structure and simulated XRD peak list of Al2V3Fe2 (the PBE geometry in Alexandria; Cu Kα (λ = 1.5418 Å)).

Largest 10 diffraction maxima, by angle, 2θ = 10–80°:
| d (Å) | I_rel |
| --- | --- |
| 3.519 | 3 |
| 3.328 | 7 |
| 2.956 | 2 |
| 2.790 | 1 |
| 2.072 | 100 |
| 1.971 | 2 |
| 1.759 | 1 |
| 1.697 | 2 |
| 1.465 | 14 |
| 1.428 | 3 |

Cell and atoms:
```
7
Lattice="2.073 1.197 5.913 -2.073 1.197 5.913 0.000 -2.394 5.913" Properties=species:S:1:pos:R:3 pbc="T T T"
Al 0.000 0.000 1.350
Al 0.000 0.000 16.388
V 0.000 0.000 6.139
V 0.000 0.000 8.869
V 0.000 0.000 11.599
Fe 0.000 0.000 3.797
Fe 0.000 0.000 13.941
```

=====

Structure and simulated XRD peak list of AlV3Fe (the PBE geometry in Alexandria; Cu Kα (λ = 1.5418 Å)).

Largest 10 diffraction maxima, by angle, 2θ = 10–80°:
| d (Å) | I_rel |
| --- | --- |
| 6.910 | 83 |
| 4.391 | 18 |
| 3.928 | 31 |
| 2.196 | 61 |
| 2.190 | 40 |
| 2.150 | 100 |
| 2.106 | 43 |
| 1.945 | 44 |
| 1.905 | 30 |
| 1.863 | 52 |

Cell and atoms:
```
20
Lattice="4.634 -5.207 0.000 4.634 5.207 0.000 -0.495 0.000 5.984" Properties=species:S:1:pos:R:3 pbc="T T T"
Al 2.954 3.175 5.249
Al 5.571 3.175 3.727
Al 3.201 -3.175 2.257
Al 5.818 -3.175 0.735
V 1.488 0.607 4.524
V 3.036 2.003 2.716
V 1.736 -0.607 1.532
V 3.584 0.759 0.533
V 5.983 2.003 0.276
V 3.337 -0.759 3.525
V 5.435 0.759 2.459
V 2.789 -2.003 5.708
V 5.188 -0.759 5.451
V 7.036 0.607 4.452
V 5.736 -2.003 3.268
V 7.284 -0.607 1.460
Fe 4.510 3.318 1.496
Fe 4.262 1.204 4.488
Fe 4.510 -1.204 1.496
Fe 4.262 -3.318 4.488
```

=====

Structure and simulated XRD peak list of AlV8Fe2 (the PBE geometry in Alexandria; Cu Kα (λ = 1.5418 Å)).

Largest 10 diffraction maxima, by angle, 2θ = 10–80°:
| d (Å) | I_rel |
| --- | --- |
| 6.558 | 46 |
| 2.268 | 69 |
| 2.261 | 54 |
| 2.186 | 78 |
| 2.131 | 76 |
| 2.071 | 100 |
| 1.975 | 50 |
| 1.953 | 57 |
| 1.941 | 65 |
| 1.773 | 51 |

Cell and atoms:
```
11
Lattice="6.638 -2.409 0.000 6.638 2.409 0.000 -0.714 0.000 4.566" Properties=species:S:1:pos:R:3 pbc="T T T"
Al 0.000 0.000 0.000
V 5.054 1.219 1.873
V 2.744 0.000 0.513
V 7.508 1.219 2.693
V 4.775 0.000 4.189
V 7.787 0.000 0.378
V 5.054 -1.219 1.873
V 9.817 0.000 4.054
V 7.508 -1.219 2.693
Fe 2.985 0.000 2.807
Fe 9.577 0.000 1.759
```

=====

Structure and simulated XRD peak list of Al3V12Fe (the PBE geometry in Alexandria; Cu Kα (λ = 1.5418 Å)).

Largest 10 diffraction maxima, by angle, 2θ = 10–80°:
| d (Å) | I_rel |
| --- | --- |
| 2.388 | 13 |
| 2.374 | 26 |
| 2.134 | 47 |
| 2.125 | 100 |
| 1.946 | 28 |
| 1.941 | 51 |
| 1.373 | 13 |
| 1.274 | 11 |
| 1.271 | 11 |
| 1.270 | 13 |

Cell and atoms:
```
16
Lattice="4.748 0.000 0.000 0.000 4.750 0.000 0.000 0.000 9.552" Properties=species:S:1:pos:R:3 pbc="T T T"
Al 0.000 0.000 0.000
Al 2.374 2.375 2.393
Al 2.374 2.375 7.159
V 0.000 2.375 1.246
V 0.000 2.375 3.661
V 0.000 2.375 5.891
V 0.000 2.375 8.306
V 1.155 0.000 2.485
V 1.155 0.000 7.068
V 2.374 1.159 4.776
V 2.374 1.235 0.000
V 2.374 3.514 0.000
V 2.374 3.591 4.776
V 3.593 0.000 2.485
V 3.593 0.000 7.068
Fe 0.000 0.000 4.776
```